BaBe2Si: computed PXRD pattern (Cu Kα X-rays), based on a cell relaxed with PBE.
No peak broadening, texture or thermal motion is included.

Structural model:
Cell lengths 4.8391, 4.8391, 14.9423 Å; angles 90.00, 90.00, 90.00 degrees
Space group I4_1/amd (No. 141, origin choice 2)
Symmetry-distinct sites (fractional):
Ba  0.0000  0.2500  0.3750 x4
Be  0.0000  0.0000  0.0000 x8
Si  0.0000  0.2500  0.8750 x4

The 12 most intense peaks (15 to 90 degrees two-theta), in order of rising 2θ:
2θ (°)  I_rel
19.28  41
23.82  33
25.67  32
28.70  100
35.30  14
37.16  25
42.19  17
44.62  29
45.02  28
59.42  14
61.89  22
72.50  14

DyNi9Sn2: computed PXRD pattern (Cu Kα X-rays), based on a cell relaxed with PBE.
No peak broadening, texture or thermal motion is included.

Structural model:
Cell lengths 8.2094, 8.2094, 4.8756 Å; angles 90.00, 90.00, 90.00 degrees
Space group P4/mbm (No. 127)
Symmetry-distinct sites (fractional):
Dy  0.0000  0.0000  0.0000 x2
Ni  0.0000  0.5000  0.5000 x2
Ni  0.0654  0.2051  0.5000 x8
Ni  0.1738  0.6738  0.2458 x8
Sn  0.1281  0.3719  0.0000 x4

The 12 most intense peaks (15 to 90 degrees two-theta), in order of rising 2θ:
2θ (°)  I_rel
34.55  26
36.01  21
36.87  18
39.32  100
43.16  24
43.89  33
44.62  68
45.56  24
49.66  15
68.06  18
70.04  14
73.23  13

SrLa2TbSe4: computed PXRD pattern (Cu Kα X-rays), based on a cell relaxed with PBE.
No peak broadening, texture or thermal motion is included.

Structural model:
Cell lengths 7.4163, 4.2580, 7.4398 Å; angles 90.00, 109.09, 90.00 degrees
Space group P2/m (No. 10)
Symmetry-distinct sites (fractional):
Sr  0.0000  0.0000  0.0000 x1
La  0.0000  0.5000  0.5000 x1
La  0.5000  0.0000  0.5000 x1
Tb  0.5000  0.5000  0.0000 x1
Se  0.2572  0.5000  0.2449 x2
Se  0.2618  0.0000  0.7618 x2

The 12 most intense peaks (15 to 90 degrees two-theta), in order of rising 2θ:
2θ (°)  I_rel
29.50  100
41.94  13
42.17  25
42.27  25
42.46  12
52.03  7
52.21  7
52.56  13
61.23  12
69.35  11
69.50  11
77.44  8

RbMn5Se8: computed PXRD pattern (Cu Kα X-rays), based on a cell relaxed with PBE.
No peak broadening, texture or thermal motion is included.

Structural model:
Cell lengths 18.9588, 3.7106, 9.1493 Å; angles 90.00, 105.10, 90.00 degrees
Space group C2/m (No. 12)
Symmetry-distinct sites (fractional):
Rb  0.0000  0.0000  0.0000 x2
Mn  0.0000  0.5000  0.5000 x2
Mn  0.1593  0.0000  0.4912 x4
Mn  0.2045  0.0000  0.8387 x4
Se  0.0715  0.0000  0.6623 x4
Se  0.0871  0.5000  0.3354 x4
Se  0.1669  0.5000  0.9917 x4
Se  0.2400  0.5000  0.6573 x4

The 12 most intense peaks (15 to 90 degrees two-theta), in order of rising 2θ:
2θ (°)  I_rel
30.36  24
30.99  50
31.24  100
32.46  66
33.48  28
37.08  23
38.82  35
44.75  30
49.10  31
49.79  57
56.06  22
60.71  23

Q: Number 1 is which compound?
A: BaBe2Si